Structure and computed powder diffraction line list of HfTi2CrO8 (a structure optimized by DFT (PBE+U); Cu Kα, 1.54184 Å).
Kinematic intensities with the Lorentz-polarization factor, no thermal factor.

Structural model:
a b c (Å): 6.7117 6.7117 6.4572
angles (deg): 90.00 90.00 90.00
Space group I-4m2 (No. 119)
One atom of each set of equivalent atoms:
1 Hf 0.0000 0.0000 0.0000 (multiplicity 2)
2 Ti 0.0000 0.0000 0.5000 (multiplicity 2)
3 Ti 0.0000 0.5000 0.7500 (multiplicity 2)
4 Cr 0.0000 0.5000 0.2500 (multiplicity 2)
5 O 0.0000 0.2014 0.3064 (multiplicity 8)
6 O 0.0000 0.2981 0.9323 (multiplicity 8)

Main lines, in order of rising 2θ (2θ from 15° to 90°):
- 18.70°, d 4.746, I = 28, (1 1 0)
- 19.07°, d 4.653, I = 67, (1 0 1)
- 26.56°, d 3.356, I = 100, (2 0 0)
- 32.91°, d 2.722, I = 20, (2 1 1)
- 33.57°, d 2.669, I = 83, (1 1 2)
- 37.92°, d 2.373, I = 16, (2 2 0)
- 42.78°, d 2.114, I = 17, (3 0 1)
- 51.53°, d 1.774, I = 64, (3 1 2)
- 54.70°, d 1.678, I = 18, (4 0 0)
- 65.73°, d 1.421, I = 18, (3 3 2)